Entry 1:
Theoretical XRD peak list of K2SnCl6 for λ = 1.5418 Å (Cu Kα), from a structure optimized by DFT (PBE).

Structure:
abc: 7.238 7.229 12.541
angles: 90.00 124.80 90.00
Space group P2_1/c (No. 14)
Inequivalent atoms, fractional coordinates:
K 0.238 0.027 0.245
Sn 0.500 0.000 0.000
Cl 0.209 0.209 0.978
Cl 0.274 0.730 0.982
Cl 0.305 0.001 0.762

Most intense lines, 10 to 80 degrees two-theta, by angle:
(0 1 1), d 5.925, 14.95 deg, I 100; (1 0 -2), d 5.900, 15.02 deg, I 33; (1 1 -1), d 5.115, 17.34 deg, I 29; (0 2 0), d 3.618, 24.61 deg, I 38; (1 0 -4), d 3.091, 28.88 deg, I 50; (0 0 4), d 2.574, 34.85 deg, I 35; (2 2 -2), d 2.557, 35.09 deg, I 64; (2 2 -6), d 1.809, 50.45 deg, I 36

Entry 2:
Theoretical XRD peak list of Mg6Si5 for λ = 1.5418 Å (Cu Kα), from a structure optimized by DFT (PBE).

Structure:
abc: 5.411 6.752 12.272
angles: 100.42 92.77 96.40
Space group P1 (No. 1)
Inequivalent atoms, fractional coordinates:
Mg 0.000 0.000 0.000
Mg 0.007 0.082 0.746
Mg 0.073 0.463 0.972
Mg 0.158 0.715 0.471
Mg 0.193 0.660 0.771
Mg 0.226 0.824 0.202
Mg 0.273 0.212 0.406
Mg 0.495 0.184 0.905
Mg 0.616 0.601 0.315
Mg 0.650 0.590 0.562
Mg 0.726 0.015 0.498
Mg 0.754 0.083 0.265
Si 0.013 0.360 0.604
Si 0.083 0.449 0.260
Si 0.342 0.216 0.167
Si 0.411 0.264 0.640
Si 0.435 0.797 0.973
Si 0.459 0.923 0.672
Si 0.694 0.790 0.815
Si 0.714 0.715 0.110
Si 0.734 0.359 0.113
Si 0.746 0.433 0.767

Most intense lines, 10 to 80 degrees two-theta, by angle:
(0 0 2), d 6.020, 14.72 deg, I 44; (-1 2 1), d 2.804, 31.91 deg, I 61; (1 1 -4), d 2.602, 34.47 deg, I 83; (1 0 4), d 2.551, 35.18 deg, I 100; (-2 1 1), d 2.538, 35.36 deg, I 44; (1 2 -3), d 2.441, 36.83 deg, I 71; (-1 1 4), d 2.415, 37.24 deg, I 47; (2 1 -3), d 2.177, 41.48 deg, I 55

Entry 3:
Theoretical XRD peak list of Na2ZrS3 for λ = 1.5418 Å (Cu Kα), from a structure optimized by DFT (PBE).

Structure:
abc: 6.705 11.623 6.988
angles: 90.00 108.87 90.00
Space group C2/m (No. 12)
Inequivalent atoms, fractional coordinates:
Na 0.000 0.000 0.000
Na 0.000 0.159 0.500
Na 0.000 0.500 0.500
Zr 0.000 0.332 0.000
S 0.214 0.500 0.222
S 0.245 0.319 0.778

Most intense lines, 10 to 80 degrees two-theta, by angle:
(0 0 1), d 6.612, 13.39 deg, I 39; (1 1 0), d 5.569, 15.91 deg, I 12; (1 3 0), d 3.307, 26.96 deg, I 13; (1 3 1), d 2.778, 32.22 deg, I 100; (1 3 -3), d 1.996, 45.44 deg, I 22; (2 0 2), d 1.990, 45.59 deg, I 11; (3 3 -1), d 1.936, 46.92 deg, I 31; (2 6 -2), d 1.590, 58.01 deg, I 15

Entry 4:
Theoretical XRD peak list of LaAl3Ni2 for λ = 1.5418 Å (Cu Kα), from a structure optimized by DFT (PBE).

Structure:
abc: 10.202 7.825 5.134
angles: 90.00 90.00 90.00
Space group Cmcm (No. 63)
Inequivalent atoms, fractional coordinates:
La 0.000 0.153 0.250
Al 0.000 0.440 0.750
Al 0.197 0.221 0.750
Ni 0.201 0.500 0.000

Most intense lines, 10 to 80 degrees two-theta, by angle:
(1 1 1), d 3.957, 22.47 deg, I 66; (3 1 0), d 3.116, 28.65 deg, I 100; (3 1 1), d 2.666, 33.62 deg, I 73; (2 2 1), d 2.657, 33.74 deg, I 88; (1 3 0), d 2.527, 35.52 deg, I 54; (2 0 2), d 2.293, 39.29 deg, I 57; (0 2 2), d 2.146, 42.10 deg, I 39; (3 3 2), d 1.611, 57.17 deg, I 36

Entry 5:
Theoretical XRD peak list of SmI for λ = 1.5418 Å (Cu Kα), from a structure optimized by DFT (PBE).

Structure:
abc: 3.8896 3.8896 4.7108
angles: 90.00 90.00 120.00
Space group P-6m2 (No. 187)
Inequivalent atoms, fractional coordinates:
Sm 0.0000 0.0000 0.0000
I 0.3333 0.6667 0.5000

Most intense lines, 10 to 80 degrees two-theta, by angle:
(1 0 0), d 3.368, 26.46 deg, I 29; (1 0 1), d 2.740, 32.68 deg, I 100; (0 0 2), d 2.355, 38.21 deg, I 14; (1 1 0), d 1.945, 46.71 deg, I 24; (2 0 1), d 1.586, 58.17 deg, I 19; (1 1 2), d 1.500, 61.87 deg, I 21; (1 0 3), d 1.423, 65.59 deg, I 13; (2 1 1), d 1.229, 77.69 deg, I 16

Entry 6:
Theoretical XRD peak list of CaH2C2O5 for λ = 1.5418 Å (Cu Kα), from a structure optimized by DFT (PBE).

Structure:
abc: 10.267 7.410 6.499
angles: 90.00 107.34 90.00
Space group C2 (No. 5)
Inequivalent atoms, fractional coordinates:
Ca 0.184 0.000 0.496
H 0.076 0.471 0.117
H 0.205 0.493 0.019
C 0.000 0.395 0.500
C 0.000 0.607 0.500
C 0.065 0.993 0.963
O 0.048 0.001 0.761
O 0.109 0.318 0.493
O 0.111 0.683 0.502
O 0.169 0.513 0.145
O 0.179 0.987 0.111

Most intense lines, 10 to 80 degrees two-theta, by angle:
(0 0 1), d 6.204, 14.28 deg, I 100; (1 1 0), d 5.911, 14.99 deg, I 34; (0 2 0), d 3.705, 24.02 deg, I 93; (0 0 2), d 3.102, 28.78 deg, I 48; (3 1 -2), d 2.524, 35.57 deg, I 32; (3 1 1), d 2.445, 36.75 deg, I 32; (1 3 0), d 2.395, 37.55 deg, I 32; (0 0 3), d 2.068, 43.77 deg, I 23